Entry 1:
Theoretical powder X-ray diffraction pattern of BaMgAl2Cd for Cu Kα (λ = 1.5418 Å), from the GGA-PBE geometry in Alexandria.
Kinematic intensities with the Lorentz-polarization factor, no thermal factor.

Main lines, most intense first (10° ≤ 2θ ≤ 90°):
Position (°2θ), Rel. int.
30.8, 100
26.9, 70
29.0, 61
29.5, 60
14.7, 45
37.7, 31
41.9, 29
48.6, 29

Structural model:
Cell: 4.595 4.775 12.084 Å, 90.00 90.00 90.00°
Fractional positions:
Ba  0.000  0.000  0.000
Ba  0.500  0.500  0.500
Mg  0.000  0.500  0.742
Mg  0.500  0.000  0.242
Al  0.000  0.000  0.617
Al  0.000  0.500  0.243
Al  0.500  0.000  0.743
Al  0.500  0.500  0.117
Cd  0.000  0.000  0.385
Cd  0.500  0.500  0.885

Entry 2:
Theoretical powder X-ray diffraction pattern of Ba2Al12CdPt3 for Cu Kα (λ = 1.5418 Å), from the GGA-PBE geometry in Alexandria.
Kinematic intensities with the Lorentz-polarization factor, no thermal factor.

Main lines, most intense first (10° ≤ 2θ ≤ 90°):
Position (°2θ), Rel. int.
22.3, 100
23.9, 88
38.2, 69
45.6, 41
44.7, 30
60.2, 28
36.2, 27
60.9, 26

Structural model:
Cell: 8.159 8.159 8.159 Å, 70.55 70.55 70.55°
Fractional positions:
Ba  0.103  0.103  0.103
Ba  0.897  0.897  0.897
Al  0.146  0.630  0.630
Al  0.257  0.257  0.600
Al  0.257  0.600  0.257
Al  0.370  0.370  0.854
Al  0.370  0.854  0.370
Al  0.400  0.743  0.743
Al  0.600  0.257  0.257
Al  0.630  0.146  0.630
Al  0.630  0.630  0.146
Al  0.743  0.400  0.743
Al  0.743  0.743  0.400
Al  0.854  0.370  0.370
Cd  0.500  0.500  0.500
Pt  0.000  0.500  0.500
Pt  0.500  0.000  0.500
Pt  0.500  0.500  0.000

Entry 3:
Theoretical powder X-ray diffraction pattern of BaCeAlS4 for Cu Kα (λ = 1.5418 Å), from the GGA-PBE geometry in Alexandria.
Kinematic intensities with the Lorentz-polarization factor, no thermal factor.

Main lines, most intense first (10° ≤ 2θ ≤ 90°):
Position (°2θ), Rel. int.
19.2, 100
32.4, 47
26.6, 47
32.8, 43
39.1, 37
29.9, 34
34.6, 34
34.8, 32

Structural model:
Cell: 6.673 6.704 8.563 Å, 90.00 107.71 90.00°
Fractional positions:
Ba  0.236  0.250  0.434
Ba  0.764  0.750  0.566
Ce  0.276  0.250  0.948
Ce  0.724  0.750  0.052
Al  0.270  0.750  0.182
Al  0.730  0.250  0.818
S  0.070  0.750  0.921
S  0.075  0.750  0.353
S  0.499  0.504  0.772
S  0.499  0.996  0.772
S  0.501  0.004  0.228
S  0.501  0.496  0.228
S  0.925  0.250  0.647
S  0.930  0.250  0.079

Entry 4:
Theoretical powder X-ray diffraction pattern of BaAl2Cl8 for Cu Kα (λ = 1.5418 Å), from the GGA-PBE geometry in Alexandria.
Kinematic intensities with the Lorentz-polarization factor, no thermal factor.

Main lines, most intense first (10° ≤ 2θ ≤ 90°):
Position (°2θ), Rel. int.
10.7, 100
18.5, 38
16.1, 36
28.2, 27
30.2, 27
25.2, 24
34.4, 22
24.5, 22

Structural model:
Cell: 8.395 7.217 12.832 Å, 90.00 99.95 90.00°
Fractional positions:
Ba  0.000  0.151  0.250
Ba  0.000  0.849  0.750
Al  0.191  0.271  0.937
Al  0.191  0.729  0.437
Al  0.809  0.271  0.563
Al  0.809  0.729  0.063
Cl  0.062  0.201  0.605
Cl  0.062  0.799  0.105
Cl  0.242  0.462  0.375
Cl  0.242  0.538  0.875
Cl  0.261  0.281  0.108
Cl  0.261  0.719  0.608
Cl  0.322  0.055  0.871
Cl  0.322  0.945  0.371
Cl  0.678  0.055  0.629
Cl  0.678  0.945  0.129
Cl  0.739  0.281  0.392
Cl  0.739  0.719  0.892
Cl  0.758  0.462  0.125
Cl  0.758  0.538  0.625
Cl  0.938  0.201  0.895
Cl  0.938  0.799  0.395

Entry 5:
Theoretical powder X-ray diffraction pattern of Ba5Al2In2IrClO13 for Cu Kα (λ = 1.5418 Å), from the GGA-PBE geometry in Alexandria.
Kinematic intensities with the Lorentz-polarization factor, no thermal factor.

Main lines, most intense first (10° ≤ 2θ ≤ 90°):
Position (°2θ), Rel. int.
30.1, 100
41.5, 24
53.4, 23
24.6, 20
17.2, 18
33.0, 17
39.2, 17
62.5, 14

Structural model:
Cell: 5.943 5.943 25.547 Å, 90.00 90.00 120.00°
Fractional positions:
Ba  0.000  0.000  0.250
Ba  0.000  0.000  0.750
Ba  0.333  0.667  0.039
Ba  0.333  0.667  0.461
Ba  0.333  0.667  0.632
Ba  0.333  0.667  0.868
Ba  0.667  0.333  0.132
Ba  0.667  0.333  0.368
Ba  0.667  0.333  0.539
Ba  0.667  0.333  0.961
Al  0.333  0.667  0.182
Al  0.333  0.667  0.318
Al  0.667  0.333  0.682
Al  0.667  0.333  0.818
In  0.000  0.000  0.112
In  0.000  0.000  0.388
In  0.000  0.000  0.612
In  0.000  0.000  0.888
Ir  0.000  0.000  0.000
Ir  0.000  0.000  0.500
Cl  0.333  0.667  0.750
Cl  0.667  0.333  0.250
O  0.155  0.309  0.548
O  0.155  0.309  0.952
O  0.155  0.845  0.548
O  0.155  0.845  0.952
O  0.173  0.347  0.156
O  0.173  0.347  0.344
O  0.173  0.827  0.156
O  0.173  0.827  0.344
O  0.309  0.155  0.048
O  0.309  0.155  0.452
O  0.333  0.667  0.250
O  0.347  0.173  0.656
O  0.347  0.173  0.844
O  0.653  0.827  0.156
O  0.653  0.827  0.344
O  0.667  0.333  0.750
O  0.691  0.845  0.548
O  0.691  0.845  0.952
O  0.827  0.173  0.656
O  0.827  0.173  0.844
O  0.827  0.653  0.656
O  0.827  0.653  0.844
O  0.845  0.155  0.048
O  0.845  0.155  0.452
O  0.845  0.691  0.048
O  0.845  0.691  0.452

Entry 6:
Theoretical powder X-ray diffraction pattern of K2BaAlCl8 for Cu Kα (λ = 1.5418 Å), from the GGA-PBE geometry in Alexandria.
Kinematic intensities with the Lorentz-polarization factor, no thermal factor.

Main lines, most intense first (10° ≤ 2θ ≤ 90°):
Position (°2θ), Rel. int.
31.8, 100
33.9, 90
14.8, 83
25.8, 75
37.2, 70
28.0, 46
32.7, 43
53.0, 39

Structural model:
Cell: 6.913 6.913 8.221 Å, 90.00 90.00 120.00°
Fractional positions:
K  0.333  0.667  0.381
K  0.667  0.333  0.619
Ba  0.000  0.000  0.000
Al  0.000  0.000  0.500
Cl  0.156  0.313  0.671
Cl  0.156  0.844  0.671
Cl  0.313  0.156  0.329
Cl  0.333  0.667  0.016
Cl  0.667  0.333  0.984
Cl  0.687  0.844  0.671
Cl  0.844  0.156  0.329
Cl  0.844  0.687  0.329

Entry 7:
Theoretical powder X-ray diffraction pattern of BaNaAlCl6 for Cu Kα (λ = 1.5418 Å), from the GGA-PBE geometry in Alexandria.
Kinematic intensities with the Lorentz-polarization factor, no thermal factor.

Main lines, most intense first (10° ≤ 2θ ≤ 90°):
Position (°2θ), Rel. int.
20.4, 100
29.6, 56
38.5, 54
42.8, 34
15.0, 28
33.4, 23
46.0, 22
31.7, 21

Structural model:
Cell: 6.828 6.828 6.416 Å, 90.00 90.00 120.00°
Fractional positions:
Ba  0.000  0.000  0.000
Na  0.333  0.667  0.500
Al  0.667  0.333  0.500
Cl  0.390  0.047  0.713
Cl  0.390  0.343  0.287
Cl  0.657  0.047  0.287
Cl  0.657  0.610  0.713
Cl  0.953  0.343  0.713
Cl  0.953  0.610  0.287